No. 1
Pm7Dy16Tm6: computed powder diffraction line list (Cu Kα, 1.54184 Å), based on a structure optimized by DFT (GGA-PBE).
No peak broadening, texture or thermal motion is included.

Main lines, most intense first (10 to 80 degrees two-theta):
d 2.790, intensity 1000
d 1.611, intensity 278
d 1.973, intensity 145
d 1.248, intensity 80
d 1.395, intensity 78
d 3.037, intensity 72
d 3.529, intensity 61
d 3.221, intensity 60
d 2.667, intensity 54
d 2.495, intensity 51

Structure:
```
Pm7Dy16Tm6
1.0
0.000 7.890 7.890
7.890 0.000 7.890
7.890 7.890 0.000
Pm Dy Tm
7 16 6
direct
0.000 0.000 0.000
0.000 0.000 0.500
0.000 0.500 0.000
0.000 0.500 0.500
0.500 0.000 0.000
0.500 0.000 0.500
0.500 0.500 0.000
0.050 0.650 0.650
0.127 0.127 0.127
0.127 0.127 0.619
0.127 0.619 0.127
0.350 0.350 0.350
0.350 0.350 0.950
0.350 0.950 0.350
0.381 0.873 0.873
0.619 0.127 0.127
0.650 0.050 0.650
0.650 0.650 0.050
0.650 0.650 0.650
0.873 0.381 0.873
0.873 0.873 0.381
0.873 0.873 0.873
0.950 0.350 0.350
0.261 0.261 0.739
0.261 0.739 0.261
0.261 0.739 0.739
0.739 0.261 0.261
0.739 0.261 0.739
0.739 0.739 0.261
```

***

No. 2
Pm5DyTm3: computed powder diffraction line list (Cu Kα, 1.54184 Å), based on a structure optimized by DFT (GGA-PBE).
No peak broadening, texture or thermal motion is included.

Main lines, most intense first (10 to 80 degrees two-theta):
d 2.877, intensity 1000
d 2.861, intensity 859
d 2.942, intensity 319
d 2.773, intensity 256
d 2.844, intensity 246
d 2.815, intensity 195
d 1.662, intensity 139
d 1.642, intensity 137
d 2.622, intensity 135
d 2.471, intensity 132

Structure:
```
Pm5DyTm3
1.0
8.167 -3.363 0.000
8.167 3.363 0.000
-3.645 0.000 10.926
Pm Dy Tm
10 2 6
direct
0.143 0.375 0.643
0.219 0.781 0.750
0.375 0.143 0.143
0.386 0.398 0.454
0.398 0.386 0.954
0.602 0.614 0.046
0.614 0.602 0.546
0.625 0.857 0.857
0.781 0.219 0.250
0.857 0.625 0.357
0.318 0.682 0.250
0.682 0.318 0.750
0.000 0.000 0.000
0.000 0.000 0.500
0.060 0.291 0.875
0.291 0.060 0.375
0.709 0.940 0.625
0.940 0.709 0.125
```

***

No. 3
Pm3Dy7Tm: computed powder diffraction line list (Cu Kα, 1.54184 Å), based on a structure optimized by DFT (GGA-PBE).
No peak broadening, texture or thermal motion is included.

Main lines, most intense first (10 to 80 degrees two-theta):
d 2.820, intensity 1000
d 2.764, intensity 682
d 2.729, intensity 533
d 2.791, intensity 473
d 2.857, intensity 228
d 1.469, intensity 186
d 1.735, intensity 161
d 1.606, intensity 158
d 1.601, intensity 127
d 1.955, intensity 120

Structure:
```
Pm3Dy7Tm
1.0
6.940 0.000 0.000
0.000 5.525 0.000
-3.283 0.000 9.415
Pm Dy Tm
3 7 1
direct
0.000 0.000 0.000
0.280 0.500 0.496
0.720 0.500 0.504
0.000 0.000 0.500
0.148 0.500 0.789
0.322 0.500 0.136
0.424 0.000 0.329
0.576 0.000 0.671
0.678 0.500 0.864
0.852 0.500 0.211
0.500 0.000 0.000
```

***

No. 4
Pm5Dy3Tm3: computed powder diffraction line list (Cu Kα, 1.54184 Å), based on a structure optimized by DFT (GGA-PBE).
No peak broadening, texture or thermal motion is included.

Main lines, most intense first (10 to 80 degrees two-theta):
d 2.692, intensity 1000
d 3.237, intensity 948
d 2.932, intensity 874
d 2.173, intensity 796
d 2.509, intensity 739
d 2.804, intensity 555
d 1.869, intensity 500
d 1.464, intensity 490
d 1.449, intensity 425
d 3.669, intensity 355

Structure:
```
Pm5Dy3Tm3
1.0
11.208 0.000 0.000
-5.604 9.707 0.000
0.000 0.000 3.440
Pm Dy Tm
5 3 3
direct
0.000 0.338 0.000
0.333 0.667 0.000
0.338 0.000 0.000
0.662 0.662 0.000
0.667 0.333 0.000
0.000 0.596 0.500
0.404 0.404 0.500
0.596 0.000 0.500
0.000 0.841 0.000
0.159 0.159 0.000
0.841 0.000 0.000
```

***

No. 5
Pm8Dy3Tm: computed powder diffraction line list (Cu Kα, 1.54184 Å), based on a structure optimized by DFT (GGA-PBE).
No peak broadening, texture or thermal motion is included.

Main lines, most intense first (10 to 80 degrees two-theta):
d 2.950, intensity 1000
d 2.943, intensity 994
d 2.555, intensity 675
d 1.803, intensity 600
d 2.546, intensity 334
d 1.542, intensity 288
d 1.539, intensity 286
d 1.536, intensity 285
d 1.475, intensity 124
d 1.471, intensity 123

Structure:
```
Pm8Dy3Tm
1.0
6.249 0.000 0.000
2.102 6.927 0.000
2.097 1.261 9.211
Pm Dy Tm
8 3 1
direct
0.000 0.167 0.332
0.000 0.333 0.668
0.000 0.667 0.332
0.000 0.833 0.668
0.498 0.167 0.833
0.499 0.667 0.834
0.501 0.333 0.166
0.502 0.833 0.167
0.000 0.000 0.000
0.500 0.000 0.500
0.500 0.500 0.500
0.000 0.500 0.000
```

***

No. 6
Pm3Dy2Tm7: computed powder diffraction line list (Cu Kα, 1.54184 Å), based on a structure optimized by DFT (GGA-PBE).
No peak broadening, texture or thermal motion is included.

Main lines, most intense first (10 to 80 degrees two-theta):
d 2.880, intensity 1000
d 2.833, intensity 582
d 2.559, intensity 413
d 2.629, intensity 357
d 2.981, intensity 291
d 1.496, intensity 280
d 1.721, intensity 226
d 1.799, intensity 197
d 2.351, intensity 157
d 1.751, intensity 129

Structure:
```
Pm3Dy2Tm7
1.0
6.289 0.000 0.000
0.000 3.501 0.000
-1.900 0.000 17.268
Pm Dy Tm
3 2 7
direct
0.000 0.000 0.000
0.048 0.500 0.658
0.952 0.500 0.342
0.443 0.000 0.325
0.557 0.000 0.675
0.230 0.500 0.165
0.247 0.000 0.500
0.275 0.000 0.834
0.500 0.500 0.000
0.725 0.000 0.166
0.753 0.000 0.500
0.770 0.500 0.835
```